1.
Computed powder X-ray diffraction pattern
Compound: ErTmCoRh
Radiation: Cu Kα
Structure: a structure optimized by DFT (GGA-PBE)

Structure:
a b c (Å): 3.326 3.326 6.766
angles (deg): 90.00 90.00 90.00
Fractional positions:
1 Er 0.000 0.000 0.000
2 Tm 0.000 0.000 0.486
3 Co 0.500 0.500 0.244
4 Rh 0.500 0.500 0.741

Principal peaks in the range 15 to 90 degrees two-theta, in order of falling intensity:
two_theta	I/Imax
37.9	100
38.3	49
69.0	34
68.3	17
55.2	17
26.8	13
81.1	11
54.2	9
26.3	7
47.1	6
81.9	5
62.4	3


2.
Computed powder X-ray diffraction pattern
Compound: Tb3TlCu2
Radiation: Cu Kα
Structure: a structure optimized by DFT (GGA-PBE)

Structure:
a b c (Å): 3.511 3.511 11.352
angles (deg): 90.00 90.00 90.00
Fractional positions:
1 Tb 0.000 0.000 0.000
2 Tb 0.000 0.000 0.306
3 Tb 0.000 0.000 0.694
4 Tl 0.500 0.500 0.500
5 Cu 0.500 0.500 0.153
6 Cu 0.500 0.500 0.847

Principal peaks in the range 15 to 90 degrees two-theta, in order of falling intensity:
two_theta	I/Imax
34.9	100
36.2	51
64.2	34
52.1	18
29.9	14
61.6	13
26.6	10
87.9	8
73.6	8
87.2	7
48.1	7
48.7	6


3.
Computed powder X-ray diffraction pattern
Compound: LiTb4Se6
Radiation: Cu Kα
Structure: a structure optimized by DFT (GGA-PBE)

Structure:
a b c (Å): 7.997 7.997 7.997
angles (deg): 91.10 91.10 91.10
Fractional positions:
1 Li 0.000 0.000 0.000
2 Li 0.500 0.500 0.500
3 Tb 0.139 0.750 0.361
4 Tb 0.250 0.250 0.250
5 Tb 0.250 0.639 0.861
6 Tb 0.361 0.139 0.750
7 Tb 0.639 0.861 0.250
8 Tb 0.750 0.361 0.139
9 Tb 0.750 0.750 0.750
10 Tb 0.861 0.250 0.639
11 Se 0.060 0.916 0.684
12 Se 0.084 0.316 0.940
13 Se 0.184 0.416 0.560
14 Se 0.316 0.940 0.084
15 Se 0.416 0.560 0.184
16 Se 0.440 0.816 0.584
17 Se 0.560 0.184 0.416
18 Se 0.584 0.440 0.816
19 Se 0.684 0.060 0.916
20 Se 0.816 0.584 0.440
21 Se 0.916 0.684 0.060
22 Se 0.940 0.084 0.316

Principal peaks in the range 15 to 90 degrees two-theta, in order of falling intensity:
two_theta	I/Imax
33.3	100
37.2	90
35.7	43
22.2	42
27.2	41
32.0	39
27.1	37
25.1	37
42.0	36
67.8	34
48.2	31
39.8	28


4.
Computed powder X-ray diffraction pattern
Compound: K2ScU2Se6
Radiation: Cu Kα
Structure: a structure optimized by DFT (GGA-PBE)

Structure:
a b c (Å): 7.078 7.078 8.227
angles (deg): 98.34 98.34 119.75
Fractional positions:
1 K 0.168 0.832 0.000
2 K 0.832 0.168 0.000
3 Sc 0.000 0.000 0.500
4 U 0.334 0.666 0.500
5 U 0.666 0.334 0.500
6 Se 0.067 0.390 0.699
7 Se 0.254 0.254 0.302
8 Se 0.390 0.067 0.699
9 Se 0.610 0.933 0.301
10 Se 0.746 0.746 0.698
11 Se 0.933 0.610 0.301

Principal peaks in the range 15 to 90 degrees two-theta, in order of falling intensity:
two_theta	I/Imax
29.4	100
29.3	53
36.8	44
44.2	35
39.7	34
49.6	25
39.7	23
45.8	19
25.5	18
54.1	18
44.4	17
16.3	17


5.
Computed powder X-ray diffraction pattern
Compound: HoPu2OsC4
Radiation: Cu Kα
Structure: a structure optimized by DFT (GGA-PBE)

Structure:
a b c (Å): 5.967 5.967 12.060
angles (deg): 90.00 90.00 145.77
Fractional positions:
1 Ho 0.114 0.886 0.750
2 Ho 0.886 0.114 0.250
3 Pu 0.369 0.631 0.539
4 Pu 0.369 0.631 0.961
5 Pu 0.631 0.369 0.039
6 Pu 0.631 0.369 0.461
7 Os 0.149 0.851 0.250
8 Os 0.851 0.149 0.750
9 C 0.000 0.000 0.000
10 C 0.000 0.000 0.500
11 C 0.259 0.741 0.127
12 C 0.259 0.741 0.373
13 C 0.440 0.560 0.750
14 C 0.560 0.440 0.250
15 C 0.741 0.259 0.627
16 C 0.741 0.259 0.873

Principal peaks in the range 15 to 90 degrees two-theta, in order of falling intensity:
two_theta	I/Imax
30.5	100
37.9	84
31.4	52
29.6	41
43.7	26
27.1	23
34.8	22
40.6	21
53.0	20
52.1	17
65.0	17
50.0	17


6.
Computed powder X-ray diffraction pattern
Compound: Th2CN
Radiation: Cu Kα
Structure: a structure optimized by DFT (GGA-PBE)

Structure:
a b c (Å): 8.370 8.370 6.447
angles (deg): 104.78 104.78 127.19
Fractional positions:
1 Th 0.063 0.438 0.751
2 Th 0.187 0.312 0.249
3 Th 0.312 0.187 0.749
4 Th 0.438 0.063 0.251
5 Th 0.562 0.937 0.749
6 Th 0.688 0.813 0.251
7 Th 0.813 0.688 0.751
8 Th 0.937 0.562 0.249
9 C 0.189 0.811 0.750
10 C 0.436 0.564 0.750
11 C 0.564 0.436 0.250
12 C 0.811 0.189 0.250
13 N 0.060 0.940 0.250
14 N 0.315 0.685 0.250
15 N 0.685 0.315 0.750
16 N 0.940 0.060 0.750

Principal peaks in the range 15 to 90 degrees two-theta, in order of falling intensity:
two_theta	I/Imax
29.2	100
33.9	86
29.4	33
48.9	31
57.9	26
57.8	21
48.7	21
58.1	16
60.6	11
48.6	11
71.4	10
81.4	10


7.
Computed powder X-ray diffraction pattern
Compound: La2AlNi9H2
Radiation: Cu Kα
Structure: a structure optimized by DFT (GGA-PBE)

Structure:
a b c (Å): 5.034 5.062 8.136
angles (deg): 88.93 89.11 61.33
Fractional positions:
1 La 0.000 0.000 0.000
2 La 0.015 0.010 0.526
3 Al 0.512 0.508 0.270
4 Ni 0.003 0.524 0.272
5 Ni 0.004 0.508 0.769
6 Ni 0.335 0.350 0.019
7 Ni 0.336 0.351 0.519
8 Ni 0.498 0.522 0.768
9 Ni 0.500 0.998 0.768
10 Ni 0.526 0.001 0.272
11 Ni 0.672 0.665 0.019
12 Ni 0.683 0.674 0.518
13 H 0.214 0.214 0.175
14 H 0.692 0.169 0.759

Principal peaks in the range 15 to 90 degrees two-theta, in order of falling intensity:
two_theta	I/Imax
41.6	100
44.6	86
41.5	69
41.7	52
41.9	52
29.8	51
42.5	51
42.4	51
35.5	42
35.7	41
40.6	39
30.0	37


8.
Computed powder X-ray diffraction pattern
Compound: TbPmTh
Radiation: Cu Kα
Structure: a structure optimized by DFT (GGA-PBE)

Structure:
a b c (Å): 3.598 3.598 8.807
angles (deg): 90.00 90.00 120.00
Fractional positions:
1 Tb 0.000 0.000 0.000
2 Pm 0.333 0.667 0.649
3 Th 0.667 0.333 0.321

Principal peaks in the range 15 to 90 degrees two-theta, in order of falling intensity:
two_theta	I/Imax
30.4	100
35.3	52
60.3	44
50.8	36
82.7	18
85.3	17
63.3	13
74.6	6
42.3	2
28.7	2
67.2	1
51.9	1


9.
Computed powder X-ray diffraction pattern
Compound: Ce5GaOs3
Radiation: Cu Kα
Structure: a structure optimized by DFT (GGA-PBE)

Structure:
a b c (Å): 7.604 7.604 9.540
angles (deg): 106.65 106.65 72.51
Fractional positions:
1 Ce 0.035 0.035 0.344
2 Ce 0.135 0.516 0.362
3 Ce 0.207 0.793 0.000
4 Ce 0.268 0.268 0.941
5 Ce 0.484 0.865 0.638
6 Ce 0.516 0.135 0.362
7 Ce 0.732 0.732 0.059
8 Ce 0.793 0.207 0.000
9 Ce 0.865 0.484 0.638
10 Ce 0.965 0.965 0.656
11 Ga 0.420 0.420 0.711
12 Ga 0.580 0.580 0.289
13 Os 0.166 0.166 0.160
14 Os 0.186 0.186 0.615
15 Os 0.500 0.500 0.000
16 Os 0.500 0.500 0.500
17 Os 0.814 0.814 0.385
18 Os 0.834 0.834 0.840

Principal peaks in the range 15 to 90 degrees two-theta, in order of falling intensity:
two_theta	I/Imax
29.1	100
20.4	82
38.5	81
19.7	77
38.2	52
48.4	47
43.2	46
32.5	43
49.3	38
40.1	37
31.6	30
39.6	25


10.
Computed powder X-ray diffraction pattern
Compound: Nd5Sb2C
Radiation: Cu Kα
Structure: a structure optimized by DFT (GGA-PBE)

Structure:
a b c (Å): 5.971 5.971 15.614
angles (deg): 90.00 90.00 122.60
Fractional positions:
1 Nd 0.095 0.905 0.630
2 Nd 0.095 0.905 0.870
3 Nd 0.250 0.750 0.250
4 Nd 0.404 0.596 0.630
5 Nd 0.404 0.596 0.870
6 Nd 0.596 0.404 0.130
7 Nd 0.596 0.404 0.370
8 Nd 0.750 0.250 0.750
9 Nd 0.905 0.095 0.130
10 Nd 0.905 0.095 0.370
11 Sb 0.251 0.749 0.057
12 Sb 0.251 0.749 0.443
13 Sb 0.749 0.251 0.557
14 Sb 0.749 0.251 0.943
15 C 0.250 0.750 0.750
16 C 0.750 0.250 0.250

Principal peaks in the range 15 to 90 degrees two-theta, in order of falling intensity:
two_theta	I/Imax
30.5	100
33.8	78
31.2	57
34.7	34
55.1	28
28.5	24
57.2	22
41.5	20
52.8	20
22.8	19
42.8	16
62.3	14


11.
Computed powder X-ray diffraction pattern
Compound: LaPr4In3
Radiation: Cu Kα
Structure: a structure optimized by DFT (GGA-PBE)

Structure:
a b c (Å): 11.472 7.291 5.906
angles (deg): 90.00 90.00 90.00
Fractional positions:
1 La 0.000 0.000 0.000
2 La 0.500 0.000 0.000
3 Pr 0.000 0.256 0.500
4 Pr 0.000 0.744 0.500
5 Pr 0.250 0.260 0.089
6 Pr 0.250 0.740 0.089
7 Pr 0.500 0.256 0.500
8 Pr 0.500 0.744 0.500
9 Pr 0.750 0.260 0.911
10 Pr 0.750 0.740 0.911
11 In 0.000 0.500 0.000
12 In 0.250 0.000 0.599
13 In 0.250 0.500 0.599
14 In 0.500 0.500 0.000
15 In 0.750 0.000 0.401
16 In 0.750 0.500 0.401

Principal peaks in the range 15 to 90 degrees two-theta, in order of falling intensity:
two_theta	I/Imax
32.8	100
31.2	48
56.5	21
30.3	18
60.2	14
44.0	13
29.8	11
50.0	9
38.5	8
53.5	7
82.8	7
62.7	7


12.
Computed powder X-ray diffraction pattern
Compound: Rb3PuAg2Br8
Radiation: Cu Kα
Structure: a structure optimized by DFT (GGA-PBE)

Structure:
a b c (Å): 7.897 7.897 10.293
angles (deg): 90.00 90.00 120.00
Fractional positions:
1 Rb 0.000 0.000 0.000
2 Rb 0.333 0.667 0.614
3 Rb 0.667 0.333 0.386
4 Pu 0.000 0.000 0.500
5 Ag 0.333 0.667 0.175
6 Ag 0.667 0.333 0.825
7 Br 0.166 0.333 0.332
8 Br 0.166 0.834 0.332
9 Br 0.333 0.166 0.668
10 Br 0.333 0.667 0.930
11 Br 0.667 0.333 0.070
12 Br 0.667 0.834 0.332
13 Br 0.834 0.166 0.668
14 Br 0.834 0.667 0.668

Principal peaks in the range 15 to 90 degrees two-theta, in order of falling intensity:
two_theta	I/Imax
22.5	100
31.4	87
15.6	72
46.0	65
44.0	50
21.6	35
28.5	34
27.5	32
39.5	23
34.6	22
37.1	22
37.3	21


13.
Computed powder X-ray diffraction pattern
Compound: Co2NiPd5
Radiation: Cu Kα
Structure: a structure optimized by DFT (GGA-PBE)

Structure:
a b c (Å): 7.205 7.205 7.205
angles (deg): 127.28 127.28 77.79
Fractional positions:
1 Co 0.129 0.629 0.758
2 Co 0.371 0.129 0.500
3 Co 0.629 0.871 0.500
4 Co 0.871 0.371 0.242
5 Ni 0.250 0.250 0.000
6 Ni 0.750 0.750 0.000
7 Pd 0.000 0.000 0.000
8 Pd 0.005 0.184 0.500
9 Pd 0.184 0.684 0.179
10 Pd 0.316 0.495 0.500
11 Pd 0.495 0.995 0.179
12 Pd 0.500 0.500 0.000
13 Pd 0.505 0.005 0.821
14 Pd 0.684 0.505 0.500
15 Pd 0.816 0.316 0.821
16 Pd 0.995 0.816 0.500

Principal peaks in the range 15 to 90 degrees two-theta, in order of falling intensity:
two_theta	I/Imax
39.7	100
44.8	45
42.9	21
32.3	15
37.7	14
48.7	13
85.8	13
68.3	11
65.1	11
39.9	9
71.0	9
84.9	8